Entry 1:
For SrTcMo, a cell relaxed with GGA-PBE gives the simulated powder diffraction line list in this record (Cu Kα (weighted mean of Kα1 and Kα2)).

Largest 10 diffraction maxima, by angle, 5 to 70 degrees two-theta:
hkl	two_theta	I (rel.)
0 0 1	11.0	1000
0 1 2	29.9	398
1 0 2	30.4	421
1 1 1	31.0	209
1 1 2	36.6	584
0 2 0	40.5	267
2 0 0	42.2	237
1 2 2	51.5	187
1 1 4	54.3	234
2 2 0	59.9	164

Cell and atoms:
```
data_SrTcMo
_chemical_formula_sum 'Sr2 Tc2 Mo2'
_cell_length_a 4.2834
_cell_length_b 4.4536
_cell_length_c 8.0726
_cell_angle_alpha 90.00
_cell_angle_beta 90.00
_cell_angle_gamma 90.00
_space_group_name_H-M_alt 'P m m 2'
_space_group_IT_number 25
loop_
_space_group_symop_operation_xyz
'x,y,z'
'-x,-y,z'
'-x,y,z'
'x,-y,z'
loop_
_atom_site_label
_atom_site_type_symbol
_atom_site_fract_x
_atom_site_fract_y
_atom_site_fract_z
Sr1 Sr 0.0000 0.0000 0.0000
Sr2 Sr 0.5000 0.5000 0.3376
Tc1 Tc 0.0000 0.0000 0.5099
Tc2 Tc 0.0000 0.5000 0.6604
Mo1 Mo 0.5000 0.0000 0.6673
Mo2 Mo 0.5000 0.5000 0.8232
```


Entry 2:
For SrTcMo, a cell relaxed with GGA-PBE gives the simulated powder diffraction line list in this record (Cu Kα (weighted mean of Kα1 and Kα2)).

Largest 10 diffraction maxima, by angle, 5 to 70 degrees two-theta:
hkl	two_theta	I (rel.)
0 0 1	8.0	1000
0 1 2	26.7	140
0 0 4	32.4	124
1 0 2	34.5	183
1 1 -1	36.5	235
1 1 -2	38.6	218
0 1 4	39.0	220
1 0 3	39.8	79
0 2 0	43.3	137
1 2 2	56.6	85

Cell and atoms:
```
data_SrTcMo
_chemical_formula_sum 'Sr2 Tc2 Mo2'
_cell_length_a 3.1044
_cell_length_b 4.1749
_cell_length_c 11.1208
_cell_angle_alpha 90.00
_cell_angle_beta 95.40
_cell_angle_gamma 90.00
_space_group_name_H-M_alt 'P 1 m 1'
_space_group_IT_number 6
loop_
_space_group_symop_operation_xyz
'x,y,z'
'x,-y,z'
loop_
_atom_site_label
_atom_site_type_symbol
_atom_site_fract_x
_atom_site_fract_y
_atom_site_fract_z
Sr1 Sr 0.0000 0.0000 0.0000
Sr2 Sr 0.4469 0.5000 0.6877
Tc1 Tc 0.3647 0.0000 0.2851
Tc2 Tc 0.7862 0.0000 0.4984
Mo1 Mo 0.0607 0.5000 0.4099
Mo2 Mo 0.6531 0.5000 0.1976
```